Simulated powder diffraction line list of Rb3RhO3 for CuKα, from a cell relaxed with GGA-PBE.
Peak positions follow from Bragg's law for the DFT cell and can differ from measured ones.

Structure:
Lattice parameters (Å, degrees): 7.529 5.855 7.547 90.00 101.81 90.00
Space group P2_1/m (No. 11)
Inequivalent atoms, fractional coordinates:
Rb: 0.085 0.250 0.313 [2 per cell]
Rb: 0.315 0.750 0.084 [2 per cell]
Rb: 0.390 0.750 0.608 [2 per cell]
Rh: 0.205 0.250 0.794 [2 per cell]
O: 0.044 0.750 0.304 [2 per cell]
O: 0.303 0.250 0.041 [2 per cell]
O: 0.366 0.250 0.633 [2 per cell]

Principal peaks in the range 2θ = 10–90°, by angle:
d [Å], intensity, h k l
3.121, 100.0, 2 1 0
3.072, 48.9, 1 1 -2
3.059, 26.3, 1 0 2
2.927, 85.8, 0 2 0
2.711, 19.4, 1 1 2
1.585, 23.6, 1 2 -4